Structure and simulated XRD peak list of Nd5TmAl2 (the PBE geometry in Alexandria; Cu Ka).
Kinematic intensities with the Lorentz-polarization factor, no thermal factor.

Crystal structure
```
Nd5TmAl2
1.0
5.423 0.000 0.000
-2.712 4.697 0.000
0.000 0.000 20.052
Nd Tm Al
10 2 4
direct
0.000 0.000 0.155
0.000 0.000 0.345
0.000 0.000 0.655
0.000 0.000 0.845
0.333 0.667 0.054
0.333 0.667 0.250
0.333 0.667 0.446
0.667 0.333 0.554
0.667 0.333 0.750
0.667 0.333 0.946
0.333 0.667 0.750
0.667 0.333 0.250
0.333 0.667 0.602
0.333 0.667 0.898
0.667 0.333 0.102
0.667 0.333 0.398
```

Peak list (8 most intense, 10 to 80 degrees two-theta, sorted by position)
2θ = 23.15°, intensity 20, hkl 1 0 3
2θ = 26.00°, intensity 57, hkl 1 0 4
2θ = 29.28°, intensity 16, hkl 1 0 5
2θ = 32.89°, intensity 58, hkl 1 0 6
2θ = 33.03°, intensity 100, hkl 1 1 0
2θ = 47.31°, intensity 21, hkl 2 0 6
2θ = 57.13°, intensity 31, hkl 1 1 10
2θ = 58.95°, intensity 41, hkl 3 0 0